Diffraction record for NaCd2OsO6. The X-ray diffraction stick pattern is calculated, not measured: it uses the PBE geometry in Alexandria and copper Kα.

The 12 most intense peaks (2θ = 10–80°), by angle:
Position (°2θ), d_spacing, Rel. int.
19.0, 4.672, 100
19.2, 4.632, 24
31.1, 2.875, 90
31.3, 2.859, 93
31.5, 2.841, 41
31.7, 2.819, 46
36.4, 2.471, 18
44.1, 2.054, 21
45.3, 2.001, 37
55.2, 1.665, 29
56.0, 1.642, 36
56.4, 1.632, 23

Cell and atoms:
```
20
Lattice="5.639 0.000 0.000 0.000 5.681 0.000 -5.574 0.000 8.216" Properties=species:S:1:pos:R:3 pbc="T T T"
Na 0.000 0.000 0.000
Na -2.787 2.841 4.108
Cd -2.806 0.206 6.023
Cd -0.019 2.635 1.915
Cd 0.084 3.046 6.302
Cd 2.871 5.475 2.193
Os 0.033 0.000 4.108
Os 2.820 2.841 0.000
O -0.575 0.504 2.335
O -3.362 2.337 6.443
O 1.161 3.722 0.306
O -1.626 4.800 4.414
O 2.063 1.261 0.683
O -0.724 1.579 4.791
O 0.790 4.102 3.425
O -1.997 4.420 7.533
O 1.691 0.881 3.803
O -1.096 1.960 7.911
O 3.427 3.344 1.773
O 0.640 5.177 5.882
```

Diffraction record for NaCd2PO4. The X-ray diffraction stick pattern is calculated, not measured: it uses the PBE geometry in Alexandria and copper Kα.

The 12 most intense peaks (2θ = 10–80°), by angle:
Position (°2θ), d_spacing, Rel. int.
17.8, 4.990, 47
21.0, 4.227, 51
22.2, 4.013, 100
32.3, 2.772, 40
33.5, 2.675, 45
34.6, 2.594, 18
35.4, 2.536, 21
36.0, 2.495, 17
36.1, 2.487, 31
44.2, 2.050, 15
45.2, 2.007, 22
46.3, 1.959, 17

Cell and atoms:
```
16
Lattice="9.056 0.000 0.000 0.000 6.338 0.000 -1.917 0.000 4.990" Properties=species:S:1:pos:R:3 pbc="T T T"
Na 0.000 0.000 0.000
Na 4.528 3.169 0.000
Cd 0.852 1.831 2.729
Cd 0.852 4.507 2.729
Cd 5.380 1.338 2.729
Cd 5.380 5.000 2.729
P 2.932 0.000 0.682
P 7.460 3.169 0.682
O 0.404 0.000 4.206
O 1.676 0.000 1.654
O 3.738 1.289 0.926
O 3.738 5.049 0.926
O 4.932 3.169 4.206
O 6.204 3.169 1.654
O 8.266 1.880 0.926
O 8.266 4.459 0.926
```

Diffraction record for NaCdPO4. The X-ray diffraction stick pattern is calculated, not measured: it uses the PBE geometry in Alexandria and copper Kα.

The 12 most intense peaks (2θ = 10–80°), by angle:
Position (°2θ), d_spacing, Rel. int.
17.7, 5.007, 32
22.3, 3.983, 37
27.1, 3.286, 29
30.1, 2.972, 39
32.6, 2.747, 100
35.9, 2.504, 17
38.5, 2.340, 17
41.2, 2.190, 15
42.9, 2.108, 23
45.2, 2.007, 17
45.5, 1.991, 15
55.0, 1.669, 19

Cell and atoms:
```
14
Lattice="2.972 -4.647 0.000 2.972 4.647 0.000 0.000 0.000 6.572" Properties=species:S:1:pos:R:3 pbc="T T T"
Na 0.000 0.000 0.000
Na 0.000 0.000 3.286
Cd 2.972 1.597 4.929
Cd 2.972 -1.597 1.643
P 2.972 1.347 1.643
P 2.972 -1.347 4.929
O 1.715 0.422 1.643
O 2.972 2.303 0.410
O 2.972 2.303 2.876
O 1.715 -0.422 4.929
O 4.229 0.422 1.643
O 2.972 -2.303 3.696
O 2.972 -2.303 6.162
O 4.229 -0.422 4.929
```

Diffraction record for Na2Cd3P4O14. The X-ray diffraction stick pattern is calculated, not measured: it uses the PBE geometry in Alexandria and copper Kα.

The 12 most intense peaks (2θ = 10–80°), by angle:
Position (°2θ), d_spacing, Rel. int.
13.6, 6.533, 42
16.6, 5.332, 34
18.8, 4.720, 36
24.4, 3.655, 77
28.3, 3.157, 100
30.9, 2.891, 65
31.3, 2.856, 82
31.5, 2.844, 67
33.0, 2.717, 42
37.8, 2.378, 42
40.1, 2.246, 36
50.9, 1.793, 31

Cell and atoms:
```
23
Lattice="5.747 0.000 0.000 2.650 6.654 0.000 1.048 1.500 7.761" Properties=species:S:1:pos:R:3 pbc="T T T"
Na 0.740 0.318 1.421
Na 8.705 7.836 6.341
Cd 3.231 3.403 1.508
Cd 3.398 0.750 3.881
Cd 6.214 4.751 6.254
P 3.263 5.352 4.487
P 3.308 3.035 6.460
P 6.138 5.119 1.301
P 6.183 2.802 3.274
O 1.948 3.139 7.167
O 1.735 2.122 2.750
O 3.308 5.228 2.982
O 3.226 3.845 5.046
O 4.503 6.061 5.093
O 4.427 3.711 7.289
O 3.658 1.624 6.010
O 5.787 6.530 1.751
O 5.018 4.443 0.472
O 4.942 2.092 2.669
O 6.219 4.309 2.716
O 6.138 2.926 4.779
O 7.710 6.031 5.012
O 7.498 5.014 0.595
```

Diffraction record for Na3CdPd3O8. The X-ray diffraction stick pattern is calculated, not measured: it uses the PBE geometry in Alexandria and copper Kα.

The 12 most intense peaks (2θ = 10–80°), by angle:
Position (°2θ), d_spacing, Rel. int.
16.5, 5.381, 100
31.5, 2.836, 14
33.3, 2.694, 43
34.0, 2.635, 15
34.1, 2.627, 29
37.5, 2.399, 29
40.2, 2.241, 48
42.5, 2.125, 10
52.6, 1.741, 11
55.7, 1.651, 15
56.6, 1.625, 16
68.3, 1.374, 8

Cell and atoms:
```
15
Lattice="5.710 -3.138 0.000 5.710 3.138 0.000 -3.469 0.000 5.381" Properties=species:S:1:pos:R:3 pbc="T T T"
Na 0.000 0.000 0.000
Na 2.855 1.569 0.000
Na 2.855 -1.569 0.000
Cd -1.734 0.000 2.690
Pd 1.120 1.569 2.690
Pd 1.120 -1.569 2.690
Pd 3.975 0.000 2.690
O 2.907 1.430 3.714
O 0.338 0.000 3.789
O 1.811 0.000 1.532
O 5.044 1.430 1.667
O 2.907 -1.430 3.714
O 6.139 0.000 3.849
O 7.612 0.000 1.592
O 5.044 -1.430 1.667
```

Diffraction record for NaPmCd2O4. The X-ray diffraction stick pattern is calculated, not measured: it uses the PBE geometry in Alexandria and copper Kα.

The 12 most intense peaks (2θ = 10–80°), by angle:
Position (°2θ), d_spacing, Rel. int.
20.6, 4.307, 42
32.1, 2.788, 100
33.2, 2.699, 11
36.7, 2.449, 34
37.5, 2.398, 64
43.2, 2.095, 12
50.9, 1.793, 7
53.5, 1.713, 43
54.1, 1.695, 21
63.2, 1.471, 15
64.3, 1.449, 28
67.2, 1.394, 21

Cell and atoms:
```
16
Lattice="4.795 0.000 0.000 0.000 4.795 0.000 0.000 0.000 9.797" Properties=species:S:1:pos:R:3 pbc="T T T"
Na 0.000 0.000 0.000
Na 2.398 2.398 4.899
Pm 0.000 0.000 4.899
Pm 2.398 2.398 0.000
Cd 0.000 2.398 2.449
Cd 0.000 2.398 7.348
Cd 2.398 0.000 2.449
Cd 2.398 0.000 7.348
O 0.000 0.000 2.523
O 0.000 0.000 7.274
O 0.000 2.398 0.000
O 0.000 2.398 4.899
O 2.398 0.000 0.000
O 2.398 0.000 4.899
O 2.398 2.398 2.375
O 2.398 2.398 7.422
```

What did the fifth record say?
Diffraction record for Na3CdPd3O8. The X-ray diffraction stick pattern is calculated, not measured: it uses the PBE geometry in Alexandria and copper Kα.

The 12 most intense peaks (2θ = 10–80°), by angle:
Position (°2θ), d_spacing, Rel. int.
16.5, 5.381, 100
31.5, 2.836, 14
33.3, 2.694, 43
34.0, 2.635, 15
34.1, 2.627, 29
37.5, 2.399, 29
40.2, 2.241, 48
42.5, 2.125, 10
52.6, 1.741, 11
55.7, 1.651, 15
56.6, 1.625, 16
68.3, 1.374, 8

Cell and atoms:
```
15
Lattice="5.710 -3.138 0.000 5.710 3.138 0.000 -3.469 0.000 5.381" Properties=species:S:1:pos:R:3 pbc="T T T"
Na 0.000 0.000 0.000
Na 2.855 1.569 0.000
Na 2.855 -1.569 0.000
Cd -1.734 0.000 2.690
Pd 1.120 1.569 2.690
Pd 1.120 -1.569 2.690
Pd 3.975 0.000 2.690
O 2.907 1.430 3.714
O 0.338 0.000 3.789
O 1.811 0.000 1.532
O 5.044 1.430 1.667
O 2.907 -1.430 3.714
O 6.139 0.000 3.849
O 7.612 0.000 1.592
O 5.044 -1.430 1.667
```